Computed powder X-ray diffraction pattern of TiCuPt2 for Cu Kα (λ = 1.5418 Å), from a DFT-relaxed cell (PBE, Alexandria).

Structure:
Cell lengths 4.4774, 5.5322, 4.7280 Å; angles 90.00, 90.00, 90.00 degrees
Element x y z (fractional)
Ti (0.2500, 0.2500, 0.1651)
Ti (0.7500, 0.7500, 0.8349)
Cu (0.2500, 0.7500, 0.1792)
Cu (0.7500, 0.2500, 0.8208)
Pt (0.2500, 0.0008, 0.6844)
Pt (0.2500, 0.4992, 0.6844)
Pt (0.7500, 0.5008, 0.3156)
Pt (0.7500, 0.9992, 0.3156)

Top 10 peaks for 10 to 90 degrees two-theta, low angle first:
2theta	I_rel
27.43	482
32.37	184
37.68	150
38.07	181
40.29	362
42.93	1000
43.28	335
68.53	135
75.06	190
82.59	163

---

Computed powder X-ray diffraction pattern of SiPb4Cl4O4 for Cu Kα (λ = 1.5418 Å), from a DFT-relaxed cell (PBE, Alexandria).

Structure:
Cell lengths 8.9135, 15.8643, 8.5057 Å; angles 90.00, 92.20, 90.00 degrees
Element x y z (fractional)
Si (0.1333, 0.1482, 0.1510)
Si (0.1333, 0.3518, 0.6510)
Si (0.8667, 0.6482, 0.3490)
Si (0.8667, 0.8518, 0.8490)
Pb (0.0672, 0.7007, 0.0042)
Pb (0.0672, 0.7993, 0.5042)
Pb (0.1529, 0.5295, 0.3463)
Pb (0.1529, 0.9705, 0.8463)
Pb (0.3470, 0.0053, 0.2909)
Pb (0.3470, 0.4947, 0.7909)
Pb (0.3920, 0.2471, 0.9337)
Pb (0.3920, 0.2529, 0.4337)
Pb (0.6080, 0.7471, 0.5663)
Pb (0.6080, 0.7529, 0.0663)
Pb (0.6530, 0.5053, 0.2091)
Pb (0.6530, 0.9947, 0.7091)
Pb (0.8471, 0.0295, 0.1537)
Pb (0.8471, 0.4705, 0.6537)
Pb (0.9328, 0.2007, 0.4958)
Pb (0.9328, 0.2993, 0.9958)
Cl (0.0000, 0.0000, 0.5000)
Cl (0.0000, 0.5000, 0.0000)
Cl (0.2284, 0.6547, 0.6116)
Cl (0.2284, 0.8453, 0.1116)
Cl (0.3390, 0.1262, 0.6787)
Cl (0.3390, 0.3738, 0.1787)
Cl (0.3734, 0.6042, 0.1090)
Cl (0.3734, 0.8958, 0.6090)
Cl (0.5000, 0.0000, 0.0000)
Cl (0.5000, 0.5000, 0.5000)
Cl (0.6266, 0.1042, 0.3910)
Cl (0.6266, 0.3958, 0.8910)
Cl (0.6610, 0.6262, 0.8213)
Cl (0.6610, 0.8738, 0.3213)
Cl (0.7716, 0.1547, 0.8884)
Cl (0.7716, 0.3453, 0.3884)
O (0.0257, 0.6715, 0.2664)
O (0.0257, 0.8285, 0.7664)
O (0.1219, 0.0467, 0.1030)
O (0.1219, 0.4533, 0.6030)
O (0.1477, 0.2116, 0.9988)
O (0.1477, 0.2884, 0.4988)
O (0.2862, 0.1535, 0.2665)
O (0.2862, 0.3465, 0.7665)
O (0.7138, 0.6535, 0.2335)
O (0.7138, 0.8465, 0.7335)
O (0.8523, 0.7116, 0.5012)
O (0.8523, 0.7884, 0.0012)
O (0.8781, 0.5467, 0.3970)
O (0.8781, 0.9533, 0.8970)
O (0.9743, 0.1715, 0.2336)
O (0.9743, 0.3285, 0.7336)

Top 10 peaks for 10 to 90 degrees two-theta, low angle first:
2theta	I_rel
20.72	711
22.41	739
22.89	775
23.55	533
23.75	1000
28.50	728
32.23	395
32.76	404
33.28	532
45.73	384